No. 1
The following is a simulated powder XRD pattern of TiNbN2. It was derived from a PBE-relaxed structure, using copper Kα.

Cell and atoms:
```
TiNbN2
1.0
4.367 0.000 0.000
0.000 4.367 0.000
0.000 0.000 8.698
Ti Nb N
4 4 8
direct
0.000 0.250 0.375
0.000 0.750 0.625
0.500 0.250 0.125
0.500 0.750 0.875
0.000 0.250 0.875
0.000 0.750 0.125
0.500 0.250 0.625
0.500 0.750 0.375
0.000 0.250 0.132
0.000 0.250 0.618
0.000 0.750 0.382
0.000 0.750 0.868
0.500 0.250 0.368
0.500 0.250 0.882
0.500 0.750 0.118
0.500 0.750 0.632
```

Main lines, in order of rising 2θ (2θ = 10–80°):
2θ (°)  d [Å]  intensity
22.79  3.902  25
35.66  2.518  100
41.35  2.183  69
41.53  2.175  34
60.05  1.541  41
71.71  1.316  26

=====

No. 2
The following is a simulated powder XRD pattern of BaGa2B2O7. It was derived from a PBE-relaxed structure, using copper Kα.

Cell and atoms:
```
BaGa2B2O7
1.0
5.936 -4.392 0.000
5.936 4.392 0.000
0.000 0.000 5.927
Ba Ga B O
2 4 4 14
direct
0.194 0.806 0.750
0.806 0.194 0.250
0.130 0.289 0.750
0.289 0.130 0.250
0.711 0.870 0.750
0.870 0.711 0.250
0.281 0.498 0.250
0.498 0.281 0.750
0.502 0.719 0.250
0.719 0.502 0.750
0.093 0.511 0.250
0.134 0.134 0.000
0.134 0.134 0.500
0.322 0.413 0.750
0.332 0.668 0.250
0.413 0.322 0.250
0.489 0.907 0.250
0.511 0.093 0.750
0.587 0.678 0.750
0.668 0.332 0.750
0.678 0.587 0.250
0.866 0.866 0.000
0.866 0.866 0.500
0.907 0.489 0.750
```

Main lines, in order of rising 2θ (2θ = 10–80°):
2θ (°)  d [Å]  intensity
19.55  4.540  40
25.23  3.530  49
28.97  3.082  88
29.45  3.033  100
30.15  2.964  86
43.97  2.059  46

=====

No. 3
The following is a simulated powder XRD pattern of YLuTh2B16Rh16. It was derived from a PBE-relaxed structure, using copper Kα.

Cell and atoms:
```
YLuTh2B16Rh16
1.0
5.358 0.000 0.000
0.000 5.360 0.000
0.000 0.000 15.049
Y Lu Th B Rh
1 1 2 16 16
direct
0.000 0.000 0.000
0.500 0.500 0.250
0.000 0.000 0.500
0.500 0.500 0.750
0.000 0.331 0.174
0.000 0.334 0.674
0.000 0.666 0.674
0.000 0.669 0.174
0.167 0.500 0.423
0.169 0.500 0.926
0.331 0.000 0.323
0.333 0.000 0.827
0.500 0.165 0.575
0.500 0.169 0.076
0.500 0.831 0.076
0.500 0.835 0.575
0.667 0.000 0.827
0.669 0.000 0.323
0.831 0.500 0.926
0.833 0.500 0.423
0.000 0.249 0.824
0.000 0.250 0.320
0.000 0.750 0.320
0.000 0.751 0.824
0.249 0.000 0.178
0.249 0.000 0.678
0.251 0.500 0.571
0.253 0.500 0.074
0.500 0.251 0.929
0.500 0.252 0.424
0.500 0.748 0.424
0.500 0.749 0.929
0.747 0.500 0.074
0.749 0.500 0.571
0.751 0.000 0.178
0.751 0.000 0.678
```

Main lines, in order of rising 2θ (2θ = 10–80°):
2θ (°)  d [Å]  intensity
29.00  3.079  37
35.57  2.524  67
39.46  2.283  100
39.68  2.272  71
44.84  2.021  30
70.55  1.335  28

=====

- Which formula does entry 2 have?
  BaGa2B2O7